Diffraction record for Li2H2SO5. The powder XRD pattern is theoretical, not measured: it uses the PBE geometry in Alexandria and Cu Kα (weighted mean of Kα1 and Kα2).

Cell and atoms:
Cell lengths 5.558, 4.904, 8.286 Å; angles 90.00, 107.18, 90.00 degrees
Positions (direct):
1 Li 0.061 0.000 0.395
2 Li 0.196 0.486 0.007
3 Li 0.804 0.986 0.993
4 Li 0.939 0.500 0.605
5 H 0.471 0.130 0.318
6 H 0.490 0.387 0.546
7 H 0.510 0.887 0.454
8 H 0.529 0.630 0.682
9 S 0.206 0.984 0.791
10 S 0.794 0.484 0.209
11 O 0.068 0.874 0.621
12 O 0.099 0.860 0.920
13 O 0.171 0.286 0.790
14 O 0.415 0.056 0.412
15 O 0.476 0.912 0.830
16 O 0.524 0.412 0.170
17 O 0.585 0.556 0.588
18 O 0.829 0.786 0.210
19 O 0.901 0.360 0.080
20 O 0.932 0.374 0.379

Top 10 peaks for 2θ = 15–90°, in order of rising 2θ:
| two_theta | Rel. int. | h k l |
| --- | --- | --- |
| 17.14 | 75.5 | 1 0 -1 |
| 21.31 | 100.0 | 0 1 1 |
| 22.75 | 82.0 | 1 0 1 |
| 23.74 | 27.9 | 1 0 -2 |
| 24.71 | 78.4 | 1 1 0 |
| 28.99 | 45.9 | 0 1 2 |
| 30.01 | 39.3 | 1 1 -2 |
| 32.24 | 39.5 | 2 0 -1 |
| 36.65 | 25.8 | 0 2 0 |
| 38.77 | 19.3 | 0 1 3 |